For HfCrSi2, a crystal structure in the Materials Project, relaxed with GGA-PBE gives the computed powder diffractogram in this record (Cu Kα).

Crystal structure
Cell lengths 9.055, 9.725, 7.996 Å; angles 90.00, 90.00, 90.00 degrees
Sites, in units of the cell vectors:
Hf1 0.169 0.180 0.000
Hf2 0.172 0.452 0.246
Hf3 0.172 0.452 0.754
Hf4 0.328 0.952 0.246
Hf5 0.328 0.952 0.754
Hf6 0.331 0.680 0.000
Hf7 0.669 0.320 0.000
Hf8 0.672 0.048 0.246
Hf9 0.672 0.048 0.754
Hf10 0.828 0.548 0.246
Hf11 0.828 0.548 0.754
Hf12 0.831 0.820 0.000
Cr1 0.000 0.000 0.244
Cr2 0.000 0.000 0.756
Cr3 0.079 0.752 0.249
Cr4 0.079 0.752 0.751
Cr5 0.421 0.252 0.249
Cr6 0.421 0.252 0.751
Cr7 0.500 0.500 0.244
Cr8 0.500 0.500 0.756
Cr9 0.579 0.748 0.249
Cr10 0.579 0.748 0.751
Cr11 0.921 0.248 0.249
Cr12 0.921 0.248 0.751
Si1 0.039 0.620 0.000
Si2 0.040 0.624 0.500
Si3 0.114 0.902 0.500
Si4 0.127 0.896 0.000
Si5 0.171 0.181 0.351
Si6 0.171 0.181 0.649
Si7 0.329 0.681 0.351
Si8 0.329 0.681 0.649
Si9 0.373 0.396 0.000
Si10 0.386 0.402 0.500
Si11 0.460 0.124 0.500
Si12 0.461 0.120 0.000
Si13 0.539 0.880 0.000
Si14 0.540 0.876 0.500
Si15 0.614 0.598 0.500
Si16 0.627 0.604 0.000
Si17 0.671 0.319 0.351
Si18 0.671 0.319 0.649
Si19 0.829 0.819 0.351
Si20 0.829 0.819 0.649
Si21 0.873 0.104 0.000
Si22 0.886 0.098 0.500
Si23 0.960 0.376 0.500
Si24 0.961 0.380 0.000

Peak list (10 most intense, 2θ = 5–70°, by angle)
- hkl 0 0 1, 2θ = 11.07°, d = 7.996 Å, intensity 38.0
- hkl 0 2 2, 2θ = 28.91°, d = 3.088 Å, intensity 37.8
- hkl 1 2 2, 2θ = 30.59°, d = 2.923 Å, intensity 44.8
- hkl 2 2 2, 2θ = 35.18°, d = 2.551 Å, intensity 22.4
- hkl 1 4 0, 2θ = 38.33°, d = 2.348 Å, intensity 46.8
- hkl 3 1 2, 2θ = 38.50°, d = 2.338 Å, intensity 100.0
- hkl 3 3 0, 2θ = 40.88°, d = 2.207 Å, intensity 69.7
- hkl 2 3 2, 2θ = 41.02°, d = 2.201 Å, intensity 54.2
- hkl 0 4 2, 2θ = 43.57°, d = 2.077 Å, intensity 23.7
- hkl 0 0 4, 2θ = 45.37°, d = 1.999 Å, intensity 31.6